This entry pairs a crystal structure of LaPm5Tl8 with its computed XRD peak list. Radiation: Cu Kα X-rays. Structure: a structure optimized by DFT (PBE).
No peak broadening, texture or thermal motion is included.

Crystal structure
Unit cell a=8.2315 b=8.2315 c=8.2315 alpha=109.82 beta=109.82 gamma=108.78
Fractional positions:
La 0.0000 0.0000 0.0000
Pm 0.1251 0.5017 0.8818
Pm 0.2500 0.7500 0.5000
Pm 0.4983 0.3801 0.6234
Pm 0.6199 0.2432 0.1182
Pm 0.7568 0.8749 0.3766
Tl 0.0363 0.2951 0.4201
Tl 0.2122 0.1305 0.7456
Tl 0.3838 0.9637 0.2589
Tl 0.3849 0.4666 0.2544
Tl 0.5334 0.7878 0.9183
Tl 0.7049 0.1249 0.7411
Tl 0.8695 0.6151 0.0817
Tl 0.8751 0.6162 0.5799

Top 6 peaks for 2θ = 10–80°, by intensity:
Position (°2θ), I (rel.)
29.8, 100
35.4, 99
29.5, 54
35.2, 44
46.9, 24
60.2, 23

---

This entry pairs a crystal structure of Mn3Co4H9 with its computed XRD peak list. Radiation: Cu Kα X-rays. Structure: a structure optimized by DFT (PBE).
No peak broadening, texture or thermal motion is included.

Crystal structure
Unit cell a=7.1230 b=7.1230 c=7.1230 alpha=35.06 beta=35.06 gamma=35.06
Fractional positions:
Mn 0.0000 0.0000 0.0000
Mn 0.1348 0.1348 0.1348
Mn 0.5350 0.5350 0.5350
Co 0.2668 0.2668 0.2668
Co 0.4020 0.4020 0.4020
Co 0.7353 0.7353 0.7353
Co 0.8682 0.8682 0.8682
H 0.0140 0.5472 0.4713
H 0.1233 0.6531 0.6195
H 0.2306 0.6521 0.8885
H 0.4713 0.0140 0.5472
H 0.5472 0.4713 0.0140
H 0.6195 0.1233 0.6531
H 0.6521 0.8885 0.2306
H 0.6531 0.6195 0.1233
H 0.8885 0.2306 0.6521

Top 6 peaks for 2θ = 10–80°, by intensity:
Position (°2θ), I (rel.)
42.1, 100
39.8, 55
43.6, 42
59.3, 16
77.0, 15
75.4, 14